Starting from DFT lattice parameters and positions (PBE), the powder XRD pattern of Pt2I2Cl was simulated for Cu Ka.
Lines closer than 0.1° are merged.

Structural model:
abc: 3.970 3.970 15.703
angles: 90.00 90.00 90.00
Element x y z (fractional)
Pt 0.000 0.500 0.250
Pt 0.000 0.500 0.750
Pt 0.500 0.000 0.250
Pt 0.500 0.000 0.750
I 0.000 0.000 0.126
I 0.000 0.000 0.874
I 0.500 0.500 0.374
I 0.500 0.500 0.626
Cl 0.000 0.000 0.500
Cl 0.500 0.500 0.000

Top 10 peaks for 2θ = 10–90°, in order of rising 2θ:
2θ/deg  d [Å]  I/Imax  hkl
11.3  7.851  100  0 0 2
23.1  3.849  13  1 0 1
28.2  3.163  20  1 0 3
33.9  2.643  44  1 1 2
39.5  2.283  60  1 1 4
45.7  1.985  25  2 0 0
47.2  1.924  13  2 0 2
47.5  1.914  18  1 1 6
67.1  1.396  16  2 0 8
80.3  1.196  16  3 1 4